(1)
Diffraction record for CaNpBO5. The powder X-ray diffraction pattern is computed, not measured: it uses the PBE geometry in Alexandria and CuKα.

Cell and atoms:
abc: 6.612 8.766 7.608
angles: 90.00 111.98 90.00
Space group C2/c (No. 15)
Unique sites:
Ca (0.000, 0.148, 0.250) (multiplicity 4)
Np (0.000, 0.500, 0.000) (multiplicity 4)
B (0.000, 0.184, 0.750) (multiplicity 4)
O (0.000, 0.404, 0.250) (multiplicity 4)
O (0.105, 0.284, 0.645) (multiplicity 8)
O (0.164, 0.080, 0.890) (multiplicity 8)

Largest 10 diffraction maxima, by intensity, 2θ from 10° to 80°:
Position (°2θ)	I/Imax
17.65	100
26.04	72
20.26	36
32.59	35
33.99	33
29.13	31
35.29	20
48.96	20
43.29	18
35.74	18

***

(2)
Diffraction record for B2C3. The powder X-ray diffraction pattern is computed, not measured: it uses the PBE geometry in Alexandria and CuKα.

Cell and atoms:
abc: 2.516 12.802 4.037
angles: 90.00 90.00 90.00
Space group Imm2 (No. 44)
Unique sites:
B (0.000, 0.097, 0.000) (multiplicity 4)
B (0.000, 0.299, 0.988) (multiplicity 4)
C (0.000, 0.000, 0.711) (multiplicity 2)
C (0.000, 0.196, 0.753) (multiplicity 4)
C (0.000, 0.404, 0.761) (multiplicity 4)
C (0.000, 0.500, 0.995) (multiplicity 2)

Largest 10 diffraction maxima, by intensity, 2θ from 10° to 80°:
Position (°2θ)	I/Imax
42.32	100
41.78	100
70.17	56
74.05	12
75.57	12
13.83	6
23.10	6
30.48	2
50.88	1
59.12	1

***

(3)
Diffraction record for ZrNi15Sb4. The powder X-ray diffraction pattern is computed, not measured: it uses the PBE geometry in Alexandria and CuKα.

Cell and atoms:
abc: 3.747 3.747 18.584
angles: 90.00 90.00 90.00
Space group P4/mmm (No. 123)
Unique sites:
Zr (0.000, 0.000, 0.000) (multiplicity 1)
Ni (0.000, 0.500, 0.101) (multiplicity 4)
Ni (0.000, 0.500, 0.300) (multiplicity 4)
Ni (0.000, 0.500, 0.500) (multiplicity 2)
Ni (0.500, 0.500, 0.000) (multiplicity 1)
Ni (0.500, 0.500, 0.202) (multiplicity 2)
Ni (0.500, 0.500, 0.400) (multiplicity 2)
Sb (0.000, 0.000, 0.200) (multiplicity 2)
Sb (0.000, 0.000, 0.400) (multiplicity 2)

Largest 10 diffraction maxima, by intensity, 2θ from 10° to 80°:
Position (°2θ)	I/Imax
41.87	100
48.60	32
71.51	19
49.02	15
71.18	10
23.75	6
33.98	5
23.94	3
54.83	2
33.83	2